Theoretical XRD peak list
Compound: CaCo2O4
Radiation: Cu Kα
Structure: a DFT-relaxed cell (PBE+U, the Materials Project)
Intensities are scaled so that the largest is 100.

Largest 6 diffraction maxima, sorted by position, 15 to 90 degrees two-theta:
| 2θ/deg | d (Å) | I/Imax |
| --- | --- | --- |
| 28.86 | 3.093 | 40 |
| 33.89 | 2.645 | 94 |
| 34.09 | 2.630 | 100 |
| 41.27 | 2.187 | 32 |
| 54.36 | 1.688 | 22 |
| 59.79 | 1.547 | 56 |

Crystal structure
```
CaCo2O4
1.0
-3.0733 3.1136 4.3751
3.0733 -3.1136 4.3751
3.0733 3.1136 -4.3751
Ca Co O
2 4 8
direct
0.0000 0.0000 0.0000
0.5000 0.0000 0.5000
0.0000 0.0000 0.5000
0.0000 0.5000 0.0000
0.3641 0.6141 0.7500
0.6359 0.3859 0.2500
0.2263 0.2422 0.5159
0.2263 0.7104 0.9841
0.2280 0.7393 0.4888
0.2495 0.2607 0.9888
0.7505 0.7393 0.0112
0.7720 0.2607 0.5112
0.7737 0.2896 0.0159
0.7737 0.7578 0.4841
```


Theoretical XRD peak list
Compound: Ca3Co4O9
Radiation: Cu Kα
Structure: a DFT-relaxed cell (PBE+U, the Materials Project)
Intensities are scaled so that the largest is 100.

Largest 6 diffraction maxima, sorted by position, 15 to 90 degrees two-theta:
| 2θ/deg | d (Å) | I/Imax |
| --- | --- | --- |
| 16.64 | 5.329 | 45 |
| 29.58 | 3.020 | 45 |
| 31.67 | 2.825 | 100 |
| 31.87 | 2.808 | 78 |
| 33.64 | 2.664 | 24 |
| 49.16 | 1.853 | 29 |

Crystal structure
```
Ca3Co4O9
1.0
7.2453 -8.4840 0.0000
7.2453 8.4840 0.0000
0.0000 0.0000 5.3287
Ca Co O
9 12 27
direct
0.0000 0.0000 0.0000
0.0820 0.6592 0.0373
0.2400 0.2400 0.0518
0.3408 0.9180 0.0373
0.4008 0.5992 0.0852
0.5992 0.4008 0.0852
0.6592 0.0820 0.0373
0.7600 0.7600 0.0518
0.9180 0.3408 0.0373
0.0166 0.2035 0.5125
0.1344 0.4627 0.5638
0.2035 0.0166 0.5125
0.2643 0.7357 0.5250
0.3854 0.3854 0.5989
0.4627 0.1344 0.5638
0.5373 0.8656 0.5638
0.6146 0.6146 0.5989
0.7357 0.2643 0.5250
0.7965 0.9834 0.5125
0.8656 0.5373 0.5638
0.9834 0.7965 0.5125
0.0000 0.5000 0.7581
0.0227 0.2026 0.8439
0.0694 0.3477 0.3276
0.1055 0.1055 0.3269
0.1543 0.8457 0.4024
0.2026 0.0227 0.8439
0.2088 0.5918 0.3485
0.2475 0.4176 0.7732
0.2700 0.7300 0.8592
0.3477 0.0694 0.3276
0.3933 0.3933 0.2670
0.4082 0.7912 0.3485
0.4176 0.2475 0.7732
0.5000 0.0000 0.7581
0.5000 0.5000 0.7770
0.5824 0.7525 0.7732
0.5918 0.2088 0.3485
0.6067 0.6067 0.2670
0.6523 0.9306 0.3276
0.7300 0.2700 0.8592
0.7525 0.5824 0.7732
0.7912 0.4082 0.3485
0.7974 0.9773 0.8439
0.8457 0.1543 0.4024
0.8945 0.8945 0.3269
0.9306 0.6523 0.3276
0.9773 0.7974 0.8439
```


Theoretical XRD peak list
Compound: CaCo2O4
Radiation: Cu Kα
Structure: a DFT-relaxed cell (PBE+U, the Materials Project)
Intensities are scaled so that the largest is 100.

Largest 6 diffraction maxima, sorted by position, 15 to 90 degrees two-theta:
| 2θ/deg | d (Å) | I/Imax |
| --- | --- | --- |
| 28.90 | 3.090 | 76 |
| 33.82 | 2.650 | 62 |
| 34.55 | 2.596 | 61 |
| 34.74 | 2.582 | 100 |
| 34.98 | 2.565 | 79 |
| 59.87 | 1.545 | 78 |

Crystal structure
```
CaCo2O4
1.0
5.4041 -3.0102 0.0000
5.4041 3.0102 0.0000
-4.2914 0.0000 19.6046
Ca Co O
8 16 32
direct
0.0000 0.0000 0.0000
0.0276 0.0276 0.5971
0.1222 0.1222 0.8722
0.2541 0.2541 0.7504
0.2791 0.2791 0.3403
0.5007 0.5007 0.5000
0.7481 0.7481 0.2509
0.8809 0.8809 0.1297
0.0002 0.5016 0.0006
0.0035 0.4960 0.5003
0.2297 0.2297 0.1582
0.2544 0.7396 0.7500
0.2632 0.7454 0.2522
0.3726 0.3726 0.6228
0.4789 0.4789 0.9102
0.4960 0.0035 0.5003
0.5016 0.0002 0.0006
0.5233 0.5233 0.0897
0.6249 0.6249 0.3758
0.7392 0.7392 0.6532
0.7396 0.2544 0.7500
0.7454 0.2632 0.2522
0.7716 0.7716 0.8416
0.9887 0.9887 0.4031
0.0446 0.0446 0.7054
0.0777 0.0777 0.2027
0.0987 0.5649 0.1982
0.1082 0.5646 0.6827
0.1805 0.6601 0.0579
0.1869 0.6250 0.5641
0.2071 0.2071 0.0599
0.2092 0.2092 0.5570
0.2938 0.2938 0.4495
0.3156 0.3156 0.9467
0.3433 0.8208 0.9439
0.3549 0.8185 0.4350
0.4348 0.9003 0.8043
0.4436 0.8738 0.3170
0.4549 0.4549 0.8105
0.4665 0.4665 0.3086
0.5398 0.5398 0.6892
0.5454 0.5454 0.1907
0.5649 0.0987 0.1982
0.5646 0.1082 0.6827
0.6250 0.1869 0.5641
0.6601 0.1805 0.0579
0.6869 0.6869 0.0549
0.7053 0.7053 0.5545
0.7938 0.7938 0.9419
0.7949 0.7949 0.4419
0.8185 0.3549 0.4350
0.8208 0.3433 0.9439
0.8738 0.4436 0.3170
0.9003 0.4348 0.8043
0.9227 0.9227 0.8028
0.9574 0.9574 0.3042
```


Theoretical XRD peak list
Compound: CaCo3O7
Radiation: Cu Kα
Structure: a DFT-relaxed cell (PBE+U, the Materials Project)
Intensities are scaled so that the largest is 100.

Largest 6 diffraction maxima, sorted by position, 15 to 90 degrees two-theta:
| 2θ/deg | d (Å) | I/Imax |
| --- | --- | --- |
| 16.44 | 5.393 | 100 |
| 25.16 | 3.540 | 29 |
| 29.38 | 3.040 | 84 |
| 31.13 | 2.873 | 22 |
| 50.29 | 1.814 | 21 |
| 57.01 | 1.615 | 22 |

Crystal structure
```
CaCo3O7
1.0
10.7859 0.0000 0.0000
0.0000 10.2785 0.0000
0.0000 0.0000 5.2741
Ca Co O
4 12 28
direct
0.0708 0.2500 0.1779
0.4292 0.7500 0.6779
0.5708 0.2500 0.3221
0.9292 0.7500 0.8221
0.1973 0.5221 0.6964
0.1973 0.9779 0.6964
0.2194 0.7500 0.1910
0.2806 0.2500 0.6910
0.3027 0.0221 0.1964
0.3027 0.4779 0.1964
0.6973 0.5221 0.8036
0.6973 0.9779 0.8036
0.7194 0.7500 0.3090
0.7806 0.2500 0.8090
0.8027 0.0221 0.3036
0.8027 0.4779 0.3036
0.0516 0.5736 0.7128
0.0516 0.9264 0.7128
0.0645 0.7500 0.1743
0.2168 0.1166 0.4553
0.2168 0.3834 0.4553
0.2219 0.1173 0.9338
0.2219 0.3827 0.9338
0.2781 0.6173 0.4338
0.2781 0.8827 0.4338
0.2832 0.6166 0.9553
0.2832 0.8834 0.9553
0.4355 0.2500 0.6743
0.4484 0.0736 0.2128
0.4484 0.4264 0.2128
0.5516 0.5736 0.7872
0.5516 0.9264 0.7872
0.5645 0.7500 0.3257
0.7168 0.1166 0.0447
0.7168 0.3834 0.0447
0.7219 0.1173 0.5662
0.7219 0.3827 0.5662
0.7781 0.6173 0.0662
0.7781 0.8827 0.0662
0.7832 0.6166 0.5447
0.7832 0.8834 0.5447
0.9355 0.2500 0.8257
0.9484 0.0736 0.2872
0.9484 0.4264 0.2872
```